Starting from a cell relaxed with GGA-PBE, the X-ray diffraction stick pattern of Ga2MoBr was computed for Cu Kα (weighted mean of Kα1 and Kα2).

Main lines, low angle first (2θ from 5° to 70°):
d_spacing  2theta  I (rel.)
8.630  10.25  4.0
4.315  20.58  7.8
2.819  31.75  14.4
2.679  33.44  100.0
2.360  38.14  37.4
2.157  41.87  21.9
2.013  45.03  64.9
1.713  53.49  6.7
1.627  56.55  32.2
1.523  60.84  2.2
1.472  63.17  8.2
1.391  67.32  12.5

Structural model:
abc: 3.2546 3.2546 8.6297
angles: 90.00 90.00 120.00
Sites, in units of the cell vectors:
1 Ga 0.0000 0.0000 0.0000
2 Ga 0.3333 0.6667 0.5063
3 Mo 0.0000 0.0000 0.7124
4 Br 0.6667 0.3333 0.2354